# 1
# La12Au3I13
Simulated powder diffraction line list, Cu Kα (weighted mean of Kα1 and Kα2). Input: a structure optimized by DFT (PBE).

Most intense lines, 2θ from 10° to 90°, low angle first:
| h k l | d_spacing | 2θ (°) | I/Imax |
| --- | --- | --- | --- |
| 1 2 2 | 4.054 | 21.9 | 6 |
| 0 4 2 | 3.205 | 27.8 | 100 |
| 4 4 0 | 2.270 | 39.7 | 36 |
| 4 0 4 | 2.263 | 39.8 | 37 |
| 8 0 2 | 1.852 | 49.2 | 19 |
| 0 0 6 | 1.845 | 49.4 | 7 |
| 0 8 4 | 1.603 | 57.5 | 11 |
| 4 8 2 | 1.435 | 65.0 | 15 |
| 4 4 6 | 1.432 | 65.2 | 15 |
| 8 4 4 | 1.310 | 72.1 | 16 |

Cell and atoms:
```
data_La12Au3I13
_space_group_name_H-M_alt 'R 3 2'
_space_group_IT_number 155
_space_group_name_Hall 'R 3 2"'
_cell_length_a 18.1594
_cell_length_b 18.1594
_cell_length_c 11.0672
_cell_angle_alpha 90.00
_cell_angle_beta 90.00
_cell_angle_gamma 120.00
loop_
_atom_site_label
_atom_site_type_symbol
_atom_site_fract_x
_atom_site_fract_y
_atom_site_fract_z
La1 La 0.0000 0.2632 0.0000
La2 La 0.0000 0.4830 0.0000
La3 La 0.0784 0.1666 0.6524
Au1 Au 0.0000 0.2499 0.5000
I1 I 0.0000 0.0000 0.5000
I2 I 0.0000 0.5097 0.5000
I3 I 0.0000 0.7404 0.5000
I4 I 0.0774 0.9146 0.1566
```

# 2
# La4ThBi5
Simulated powder diffraction line list, Cu Kα (weighted mean of Kα1 and Kα2). Input: a structure optimized by DFT (PBE).

Most intense lines, 2θ from 10° to 90°, low angle first:
| h k l | d_spacing | 2θ (°) | I/Imax |
| --- | --- | --- | --- |
| 1 2 1 | 3.821 | 23.3 | 4 |
| 0 0 2 | 3.309 | 26.9 | 100 |
| 3 1 2 | 2.340 | 38.5 | 79 |
| 1 2 3 | 1.995 | 45.5 | 2 |
| 2 4 2 | 1.910 | 47.6 | 29 |
| 0 0 4 | 1.654 | 55.5 | 14 |
| 3 1 4 | 1.480 | 62.8 | 38 |
| 2 4 4 | 1.351 | 69.6 | 29 |
| 6 2 4 | 1.170 | 82.4 | 9 |
| 0 0 6 | 1.103 | 88.7 | 20 |

Cell and atoms:
```
data_La4ThBi5
_space_group_name_H-M_alt 'I 4/m'
_space_group_IT_number 87
_space_group_name_Hall '-I 4'
_cell_length_a 10.465
_cell_length_b 10.465
_cell_length_c 6.616
_cell_angle_alpha 90.00
_cell_angle_beta 90.00
_cell_angle_gamma 90.00
loop_
_atom_site_label
_atom_site_type_symbol
_atom_site_fract_x
_atom_site_fract_y
_atom_site_fract_z
La1 La 0.098 0.699 0.000
Th1 Th 0.000 0.000 0.500
Bi1 Bi 0.000 0.000 0.000
Bi2 Bi 0.099 0.705 0.500
```

# 3
# HoMg3Ru
Simulated powder diffraction line list, Cu Kα (weighted mean of Kα1 and Kα2). Input: a structure optimized by DFT (PBE).

Most intense lines, 2θ from 10° to 90°, low angle first:
| h k l | d_spacing | 2θ (°) | I/Imax |
| --- | --- | --- | --- |
| 0 0 1 | 7.078 | 12.5 | 100 |
| 0 2 0 | 2.936 | 30.4 | 16 |
| 0 2 1 | 2.712 | 33.0 | 26 |
| 2 1 -1 | 2.400 | 37.5 | 26 |
| 1 1 2 | 2.380 | 37.8 | 11 |
| 2 1 0 | 2.340 | 38.5 | 20 |
| 0 2 2 | 2.260 | 39.9 | 13 |
| 2 1 -2 | 2.214 | 40.7 | 14 |
| 1 1 3 | 1.855 | 49.1 | 11 |
| 1 2 -4 | 1.552 | 59.5 | 11 |

Cell and atoms:
```
data_HoMg3Ru
_space_group_name_H-M_alt 'P 1 21/m 1'
_space_group_IT_number 11
_cell_length_a 5.290
_cell_length_b 5.873
_cell_length_c 7.339
_cell_angle_alpha 90.00
_cell_angle_beta 105.32
_cell_angle_gamma 90.00
loop_
_space_group_symop_operation_xyz
'x,y,z'
'-x,-y,-z'
'-x,y+1/2,-z'
'x,-y+1/2,z'
loop_
_atom_site_label
_atom_site_type_symbol
_atom_site_fract_x
_atom_site_fract_y
_atom_site_fract_z
Ho1 Ho 0.111 0.250 0.416
Mg1 Mg 0.009 0.250 0.885
Mg2 Mg 0.487 0.503 0.792
Ru1 Ru 0.339 0.750 0.466
```

# 4
# ErZrTl3
Simulated powder diffraction line list, Cu Kα (weighted mean of Kα1 and Kα2). Input: a structure optimized by DFT (PBE).

Most intense lines, 2θ from 10° to 90°, low angle first:
| h k l | d_spacing | 2θ (°) | I/Imax |
| --- | --- | --- | --- |
| 1 1 1 | 4.356 | 20.4 | 11 |
| 2 2 0 | 3.189 | 28.0 | 13 |
| 0 0 2 | 2.982 | 30.0 | 26 |
| 0 4 1 | 2.812 | 31.8 | 100 |
| 1 1 2 | 2.701 | 33.2 | 11 |
| 1 5 0 | 2.410 | 37.3 | 21 |
| 2 2 2 | 2.178 | 41.5 | 28 |
| 3 3 1 | 2.002 | 45.3 | 19 |
| 4 0 0 | 1.841 | 49.5 | 16 |
| 0 4 3 | 1.687 | 54.4 | 23 |

Cell and atoms:
```
data_ErZrTl3
_space_group_name_H-M_alt 'C m c m'
_space_group_IT_number 63
_space_group_name_Hall '-C 2c 2'
_cell_length_a 7.369
_cell_length_b 12.746
_cell_length_c 5.964
_cell_angle_alpha 90.00
_cell_angle_beta 90.00
_cell_angle_gamma 90.00
loop_
_atom_site_label
_atom_site_type_symbol
_atom_site_fract_x
_atom_site_fract_y
_atom_site_fract_z
Er1 Er 0.000 0.166 0.250
Zr1 Zr 0.000 0.500 0.000
Tl1 Tl 0.000 0.302 0.750
Tl2 Tl 0.203 0.099 0.750
```

# 5
# K2VPdS4
Simulated powder diffraction line list, Cu Kα (weighted mean of Kα1 and Kα2). Input: a structure optimized by DFT (PBE).

Most intense lines, 2θ from 10° to 90°, low angle first:
| h k l | d_spacing | 2θ (°) | I/Imax |
| --- | --- | --- | --- |
| 0 2 2 | 5.651 | 15.7 | 100 |
| 0 0 4 | 5.552 | 16.0 | 65 |
| 1 3 1 | 3.414 | 26.1 | 31 |
| 0 2 6 | 3.224 | 27.7 | 58 |
| 1 3 5 | 2.727 | 32.8 | 47 |
| 2 2 0 | 2.587 | 34.7 | 28 |
| 2 0 6 | 2.240 | 40.3 | 38 |
| 2 4 2 | 2.098 | 43.1 | 30 |
| 0 6 6 | 1.883 | 48.3 | 23 |
| 2 0 10 | 1.743 | 52.5 | 25 |

Cell and atoms:
```
data_K2VPdS4
_space_group_name_H-M_alt 'F d d d'
_space_group_IT_number 70
_cell_length_a 5.629
_cell_length_b 13.128
_cell_length_c 22.208
_cell_angle_alpha 90.00
_cell_angle_beta 90.00
_cell_angle_gamma 90.00
loop_
_space_group_symop_operation_xyz
'x,y,z'
'-x,-y,-z'
'-x+1/4,-y+1/4,z'
'x+1/4,y+1/4,-z'
'x,-y+1/4,-z+1/4'
'-x,y+1/4,z+1/4'
'-x+1/4,y,-z+1/4'
'x+1/4,-y,z+1/4'
'x,y+1/2,z+1/2'
'-x,-y+1/2,-z+1/2'
'-x+1/4,-y+3/4,z+1/2'
'x+1/4,y+3/4,-z+1/2'
'x,-y+3/4,-z+3/4'
'-x,y+3/4,z+3/4'
'-x+1/4,y+1/2,-z+3/4'
'x+1/4,-y+1/2,z+3/4'
'x+1/2,y,z+1/2'
'-x+1/2,-y,-z+1/2'
'-x+3/4,-y+1/4,z+1/2'
'x+3/4,y+1/4,-z+1/2'
'x+1/2,-y+1/4,-z+3/4'
'-x+1/2,y+1/4,z+3/4'
'-x+3/4,y,-z+3/4'
'x+3/4,-y,z+3/4'
'x+1/2,y+1/2,z'
'-x+1/2,-y+1/2,-z'
'-x+3/4,-y+3/4,z'
'x+3/4,y+3/4,-z'
'x+1/2,-y+3/4,-z+1/4'
'-x+1/2,y+3/4,z+1/4'
'-x+3/4,y+1/2,-z+1/4'
'x+3/4,-y+1/2,z+1/4'
loop_
_atom_site_label
_atom_site_type_symbol
_atom_site_fract_x
_atom_site_fract_y
_atom_site_fract_z
K1 K 0.125 0.125 0.303
V1 V 0.125 0.125 0.625
Pd1 Pd 0.125 0.125 0.125
S1 S 0.097 0.275 0.819
```

# 6
# AlCuH28S2ClO22
Simulated powder diffraction line list, Cu Kα (weighted mean of Kα1 and Kα2). Input: a structure optimized by DFT (PBE).

Most intense lines, 2θ from 10° to 90°, low angle first:
| h k l | d_spacing | 2θ (°) | I/Imax |
| --- | --- | --- | --- |
| 1 0 0 | 6.246 | 14.2 | 54 |
| 1 0 -1 | 5.632 | 15.7 | 49 |
| 1 1 1 | 4.490 | 19.8 | 100 |
| 0 0 3 | 4.442 | 20.0 | 46 |
| 0 1 -2 | 4.282 | 20.7 | 43 |
| 1 -1 1 | 3.955 | 22.5 | 38 |
| -1 1 2 | 3.720 | 23.9 | 42 |
| 1 1 -2 | 3.608 | 24.7 | 44 |
| 2 0 0 | 3.120 | 28.6 | 66 |
| 0 1 4 | 3.110 | 28.7 | 46 |

Cell and atoms:
```
data_AlCuH28S2ClO22
_space_group_name_H-M_alt 'P -1'
_space_group_IT_number 2
_cell_length_a 6.268
_cell_length_b 6.303
_cell_length_c 13.442
_cell_angle_alpha 82.47
_cell_angle_beta 88.77
_cell_angle_gamma 85.37
loop_
_space_group_symop_operation_xyz
'x,y,z'
'-x,-y,-z'
loop_
_atom_site_label
_atom_site_type_symbol
_atom_site_fract_x
_atom_site_fract_y
_atom_site_fract_z
Al1 Al 0.000 0.000 0.000
Cu1 Cu 0.500 0.000 0.500
H1 H 0.033 0.624 0.102
H2 H 0.081 0.990 0.191
H3 H 0.105 0.131 0.682
H4 H 0.126 0.734 0.316
H5 H 0.140 0.218 0.456
H6 H 0.150 0.013 0.391
H7 H 0.151 0.216 0.131
H8 H 0.225 0.300 0.908
H9 H 0.286 0.653 0.529
H10 H 0.325 0.811 0.913
H11 H 0.373 0.800 0.031
H12 H 0.408 0.966 0.721
H13 H 0.442 0.215 0.691
H14 H 0.487 0.617 0.604
S1 S 0.436 0.482 0.190
Cl1 Cl 0.000 0.500 0.500
O1 O 0.054 0.879 0.303
O2 O 0.077 0.267 0.931
O3 O 0.101 0.073 0.122
O4 O 0.212 0.075 0.448
O5 O 0.217 0.448 0.156
O6 O 0.280 0.874 0.975
O7 O 0.366 0.094 0.672
O8 O 0.420 0.551 0.292
O9 O 0.423 0.720 0.808
O10 O 0.428 0.702 0.541
O11 O 0.475 0.344 0.882
```